Computed powder XRD pattern of Tb4HoIn3 for copper Kα, from a structure optimized by DFT (GGA-PBE).
Peak positions follow from Bragg's law for the DFT cell and can differ from measured ones.

Largest 12 diffraction maxima, low angle first, 10 to 80 degrees two-theta:
30.04°, I = 10
32.72°, I = 90
33.33°, I = 100
47.40°, I = 32
58.00°, I = 11
59.17°, I = 33
59.56°, I = 19
61.93°, I = 9
68.57°, I = 6
69.99°, I = 12
78.41°, I = 9
79.43°, I = 14

Crystal structure
Lattice parameters (Å, degrees): 9.542 9.542 9.542 32.73 32.73 32.73
Atoms (fractional coordinates):
1 Tb 0.115 0.115 0.115
2 Tb 0.370 0.370 0.370
3 Tb 0.630 0.630 0.630
4 Tb 0.885 0.885 0.885
5 Ho 0.500 0.500 0.500
6 In 0.000 0.000 0.000
7 In 0.238 0.238 0.238
8 In 0.762 0.762 0.762